Starting from a structure optimized by DFT (PBE), the powder XRD pattern of YSc11 was simulated for Cu Ka.

Structure:
Cell lengths 10.352, 10.352, 3.247 Å; angles 90.00, 90.00, 120.00 degrees
Element x y z (fractional)
Y 0.000 0.000 0.000
Sc 0.000 0.500 0.000
Sc 0.179 0.357 0.500
Sc 0.179 0.821 0.500
Sc 0.333 0.667 0.000
Sc 0.357 0.179 0.500
Sc 0.500 0.000 0.000
Sc 0.500 0.500 0.000
Sc 0.643 0.821 0.500
Sc 0.667 0.333 0.000
Sc 0.821 0.179 0.500
Sc 0.821 0.643 0.500

The 6 most intense peaks (2θ = 10–90°), in order of rising 2θ:
Position (°2θ)  I_rel
32.55  36.3
34.10  63.8
34.66  100.0
41.05  20.0
49.41  19.2
68.19  23.4

Starting from a structure optimized by DFT (PBE), the powder XRD pattern of Y5Sc3 was simulated for Cu Ka.

Structure:
Cell lengths 4.915, 4.915, 9.697 Å; angles 90.00, 90.00, 90.00 degrees
Element x y z (fractional)
Y 0.000 0.000 0.000
Y 0.000 0.000 0.475
Y 0.000 0.500 0.743
Y 0.500 0.000 0.743
Y 0.500 0.500 0.475
Sc 0.000 0.500 0.232
Sc 0.500 0.000 0.232
Sc 0.500 0.500 0.001

The 6 most intense peaks (2θ = 10–90°), in order of rising 2θ:
Position (°2θ)  I_rel
31.68  100.0
36.57  34.0
37.09  15.3
52.68  11.4
53.07  20.9
62.79  25.7

Starting from a structure optimized by DFT (PBE), the powder XRD pattern of YSc2 was simulated for Cu Ka.

Structure:
Cell lengths 6.312, 6.312, 8.011 Å; angles 103.17, 103.17, 31.62 degrees
Element x y z (fractional)
Y 0.185 0.185 0.139
Y 0.815 0.815 0.861
Sc 0.138 0.138 0.524
Sc 0.468 0.468 0.213
Sc 0.532 0.532 0.787
Sc 0.862 0.862 0.476

The 6 most intense peaks (2θ = 10–90°), in order of rising 2θ:
Position (°2θ)  I_rel
30.09  27.7
33.49  45.9
34.43  67.9
34.62  100.0
34.99  27.4
53.78  22.4

Question: Number 1 is which compound?
Answer: YSc11